# 1
# Mg5Si9
Simulated powder diffraction line list, λ = 1.5418 Å (Cu Kα). Input: a structure optimized by DFT (PBE).
Lines closer than 0.1° are merged.

Structure:
Cell lengths 5.449, 8.252, 11.932 Å; angles 89.94, 79.61, 78.60 degrees
Atoms (fractional coordinates):
Mg 0.000 0.000 0.000
Mg 0.023 0.162 0.373
Mg 0.145 0.709 0.724
Mg 0.303 0.321 0.755
Mg 0.405 0.310 0.986
Mg 0.529 0.486 0.389
Mg 0.560 0.928 0.847
Mg 0.687 0.548 0.755
Mg 0.743 0.764 0.193
Mg 0.870 0.947 0.568
Si 0.069 0.466 0.566
Si 0.074 0.447 0.245
Si 0.200 0.867 0.199
Si 0.286 0.833 0.392
Si 0.290 0.007 0.673
Si 0.296 0.675 0.930
Si 0.358 0.595 0.120
Si 0.406 0.221 0.536
Si 0.473 0.223 0.222
Si 0.476 0.014 0.080
Si 0.542 0.744 0.545
Si 0.571 0.045 0.372
Si 0.748 0.402 0.136
Si 0.775 0.280 0.602
Si 0.850 0.662 0.943
Si 0.854 0.164 0.786
Si 0.924 0.357 0.933
Si 0.965 0.645 0.415

Largest 12 diffraction maxima, low angle first, 10° ≤ 2θ ≤ 90°:
2.765 Å, 2θ 32.37, I 44.4
2.647 Å, 2θ 33.86, I 29.3
2.589 Å, 2θ 34.65, I 45.1
2.579 Å, 2θ 34.79, I 80.8
2.502 Å, 2θ 35.89, I 100.0
2.497 Å, 2θ 35.97, I 55.4
2.377 Å, 2θ 37.85, I 39.6
2.345 Å, 2θ 38.38, I 41.2
2.213 Å, 2θ 40.78, I 33.8
2.167 Å, 2θ 41.68, I 48.6
1.883 Å, 2θ 48.35, I 31.3
1.787 Å, 2θ 51.11, I 23.7


# 2
# Na3US4
Simulated powder diffraction line list, λ = 1.5418 Å (Cu Kα). Input: a structure optimized by DFT (PBE).
Lines closer than 0.1° are merged.

Structure:
Cell lengths 7.030, 8.118, 6.941 Å; angles 90.00, 110.08, 90.00 degrees
Atoms (fractional coordinates):
Na 0.000 0.110 0.250
Na 0.000 0.371 0.750
Na 0.000 0.629 0.250
Na 0.000 0.890 0.750
Na 0.500 0.119 0.750
Na 0.500 0.881 0.250
U 0.500 0.365 0.250
U 0.500 0.635 0.750
S 0.263 0.148 0.026
S 0.263 0.852 0.526
S 0.285 0.395 0.498
S 0.285 0.605 0.998
S 0.715 0.395 0.002
S 0.715 0.605 0.502
S 0.737 0.148 0.474
S 0.737 0.852 0.974

Largest 12 diffraction maxima, low angle first, 10° ≤ 2θ ≤ 90°:
8.118 Å, 2θ 10.90, I 64.4
6.603 Å, 2θ 13.41, I 99.5
5.122 Å, 2θ 17.31, I 46.3
5.083 Å, 2θ 17.45, I 57.3
4.678 Å, 2θ 18.97, I 53.2
3.590 Å, 2θ 24.80, I 20.0
3.446 Å, 2θ 25.86, I 32.9
3.308 Å, 2θ 26.96, I 34.2
2.862 Å, 2θ 31.25, I 51.2
2.850 Å, 2θ 31.39, I 100.0
2.029 Å, 2θ 44.65, I 51.6
2.010 Å, 2θ 45.11, I 34.8


# 3
# Ho3Ga2Ge
Simulated powder diffraction line list, λ = 1.5418 Å (Cu Kα). Input: a structure optimized by DFT (PBE).
Lines closer than 0.1° are merged.

Structure:
Cell lengths 11.828, 4.076, 11.808 Å; angles 90.00, 90.00, 90.00 degrees
Atoms (fractional coordinates):
Ho 0.057 0.250 0.122
Ho 0.119 0.750 0.555
Ho 0.211 0.250 0.793
Ho 0.289 0.750 0.293
Ho 0.381 0.250 0.055
Ho 0.443 0.750 0.622
Ho 0.557 0.250 0.378
Ho 0.619 0.750 0.945
Ho 0.711 0.250 0.707
Ho 0.789 0.750 0.207
Ho 0.881 0.250 0.445
Ho 0.943 0.750 0.878
Ga 0.011 0.750 0.307
Ga 0.187 0.750 0.999
Ga 0.313 0.250 0.499
Ga 0.489 0.250 0.807
Ga 0.511 0.750 0.193
Ga 0.687 0.750 0.501
Ga 0.813 0.250 0.001
Ga 0.989 0.250 0.693
Ge 0.131 0.250 0.371
Ge 0.369 0.750 0.871
Ge 0.631 0.250 0.129
Ge 0.869 0.750 0.629

Largest 12 diffraction maxima, low angle first, 10° ≤ 2θ ≤ 90°:
3.279 Å, 2θ 27.20, I 37.9
3.228 Å, 2θ 27.63, I 35.6
2.918 Å, 2θ 30.64, I 57.0
2.866 Å, 2θ 31.21, I 61.9
2.831 Å, 2θ 31.60, I 100.0
2.755 Å, 2θ 32.50, I 46.1
2.643 Å, 2θ 33.92, I 44.7
2.555 Å, 2θ 35.13, I 65.8
2.345 Å, 2θ 38.38, I 45.4
2.217 Å, 2θ 40.69, I 42.1
2.194 Å, 2θ 41.15, I 25.6
2.038 Å, 2θ 44.45, I 46.7


# 4
# DyErTlPb
Simulated powder diffraction line list, λ = 1.5418 Å (Cu Kα). Input: a structure optimized by DFT (PBE).
Lines closer than 0.1° are merged.

Structure:
Cell lengths 5.636, 5.636, 5.636 Å; angles 127.35, 127.35, 77.69 degrees
Atoms (fractional coordinates):
Dy 0.000 0.000 0.000
Er 0.500 0.500 0.000
Tl 0.250 0.750 0.500
Pb 0.750 0.250 0.500

Largest 12 diffraction maxima, low angle first, 10° ≤ 2θ ≤ 90°:
2.753 Å, 2θ 32.52, I 100.0
2.499 Å, 2θ 35.93, I 38.4
2.195 Å, 2θ 41.13, I 13.3
1.767 Å, 2θ 51.72, I 13.8
1.649 Å, 2θ 55.74, I 22.1
1.487 Å, 2θ 62.44, I 31.5
1.377 Å, 2θ 68.12, I 12.2
1.352 Å, 2θ 69.53, I 11.5
1.250 Å, 2θ 76.18, I 4.5
1.138 Å, 2θ 85.29, I 6.9
1.118 Å, 2θ 87.21, I 6.6
1.097 Å, 2θ 89.26, I 1.6


# 5
# NaBi5O8
Simulated powder diffraction line list, λ = 1.5418 Å (Cu Kα). Input: a structure optimized by DFT (PBE).
Lines closer than 0.1° are merged.

Structure:
Cell lengths 7.512, 7.794, 10.060 Å; angles 69.99, 74.53, 79.23 degrees
Atoms (fractional coordinates):
Na 0.236 0.397 0.487
Na 0.764 0.603 0.513
Bi 0.024 0.851 0.204
Bi 0.047 0.409 0.182
Bi 0.253 0.929 0.445
Bi 0.388 0.241 0.860
Bi 0.450 0.698 0.835
Bi 0.550 0.302 0.165
Bi 0.612 0.759 0.140
Bi 0.747 0.071 0.555
Bi 0.953 0.591 0.818
Bi 0.976 0.149 0.796
O 0.014 0.055 0.606
O 0.040 0.570 0.327
O 0.056 0.330 0.955
O 0.289 0.149 0.720
O 0.307 0.206 0.338
O 0.328 0.474 0.066
O 0.328 0.859 0.241
O 0.409 0.525 0.724
O 0.591 0.475 0.276
O 0.672 0.141 0.759
O 0.672 0.526 0.934
O 0.693 0.794 0.662
O 0.711 0.851 0.280
O 0.944 0.670 0.045
O 0.960 0.430 0.673
O 0.986 0.945 0.394

Largest 12 diffraction maxima, low angle first, 10° ≤ 2θ ≤ 90°:
5.012 Å, 2θ 17.70, I 28.1
4.607 Å, 2θ 19.27, I 20.3
3.417 Å, 2θ 26.08, I 22.0
3.397 Å, 2θ 26.23, I 26.0
3.199 Å, 2θ 27.89, I 67.3
3.125 Å, 2θ 28.57, I 92.0
3.076 Å, 2θ 29.03, I 100.0
2.928 Å, 2θ 30.53, I 26.1
2.918 Å, 2θ 30.64, I 42.6
2.025 Å, 2θ 44.76, I 24.8
1.722 Å, 2θ 53.18, I 22.2
1.666 Å, 2θ 55.12, I 22.7


# 6
# Mg3In2Bi3
Simulated powder diffraction line list, λ = 1.5418 Å (Cu Kα). Input: a structure optimized by DFT (PBE).
Lines closer than 0.1° are merged.

Structure:
Cell lengths 5.801, 7.010, 12.839 Å; angles 81.48, 89.33, 89.23 degrees
Atoms (fractional coordinates):
Mg 0.017 0.243 0.303
Mg 0.214 0.026 0.909
Mg 0.225 0.662 0.171
Mg 0.775 0.338 0.829
Mg 0.786 0.974 0.091
Mg 0.983 0.757 0.697
In 0.086 0.146 0.588
In 0.250 0.478 0.977
In 0.750 0.522 0.023
In 0.914 0.854 0.412
Bi 0.262 0.507 0.435
Bi 0.282 0.411 0.750
Bi 0.286 0.090 0.137
Bi 0.714 0.910 0.863
Bi 0.718 0.589 0.250
Bi 0.738 0.493 0.565

Largest 12 diffraction maxima, low angle first, 10° ≤ 2θ ≤ 90°:
6.932 Å, 2θ 12.77, I 72.8
6.502 Å, 2θ 13.62, I 53.6
4.423 Å, 2θ 20.08, I 52.6
4.364 Å, 2θ 20.35, I 47.4
3.491 Å, 2θ 25.52, I 100.0
3.469 Å, 2θ 25.68, I 73.1
3.402 Å, 2θ 26.19, I 51.3
3.247 Å, 2θ 27.47, I 58.2
3.063 Å, 2θ 29.16, I 61.9
2.900 Å, 2θ 30.83, I 76.7
2.337 Å, 2θ 38.53, I 75.6
2.309 Å, 2θ 39.00, I 74.5


# 7
# Pr3Y3Er8
Simulated powder diffraction line list, λ = 1.5418 Å (Cu Kα). Input: a structure optimized by DFT (PBE).
Lines closer than 0.1° are merged.

Structure:
Cell lengths 9.682, 9.682, 9.682 Å; angles 146.10, 111.87, 78.32 degrees
Atoms (fractional coordinates):
Pr 0.000 0.000 0.000
Pr 0.186 0.686 0.500
Pr 0.814 0.314 0.500
Y 0.202 0.500 0.702
Y 0.500 0.500 0.000
Y 0.798 0.500 0.298
Er 0.118 0.279 0.839
Er 0.240 0.898 0.343
Er 0.440 0.279 0.161
Er 0.445 0.102 0.343
Er 0.555 0.898 0.657
Er 0.560 0.721 0.839
Er 0.760 0.102 0.657
Er 0.882 0.721 0.161

Largest 12 diffraction maxima, low angle first, 10° ≤ 2θ ≤ 90°:
3.515 Å, 2θ 25.34, I 13.2
3.004 Å, 2θ 29.75, I 23.6
2.931 Å, 2θ 30.50, I 16.4
2.822 Å, 2θ 31.71, I 100.0
2.651 Å, 2θ 33.81, I 35.8
2.365 Å, 2θ 38.06, I 9.0
2.200 Å, 2θ 41.02, I 9.3
2.033 Å, 2θ 44.56, I 11.6
1.808 Å, 2θ 50.49, I 7.8
1.629 Å, 2θ 56.47, I 13.8
1.522 Å, 2θ 60.85, I 8.9
1.493 Å, 2θ 62.15, I 10.5


# 8
# Pm3B4Os4
Simulated powder diffraction line list, λ = 1.5418 Å (Cu Kα). Input: a structure optimized by DFT (PBE).
Lines closer than 0.1° are merged.

Structure:
Cell lengths 6.094, 6.094, 6.094 Å; angles 109.47, 109.47, 109.47 degrees
Atoms (fractional coordinates):
Pm 0.000 0.500 0.500
Pm 0.500 0.000 0.500
Pm 0.500 0.500 0.000
B 0.000 0.000 0.347
B 0.000 0.347 0.000
B 0.347 0.000 0.000
B 0.653 0.653 0.653
Os 0.000 0.000 0.717
Os 0.000 0.717 0.000
Os 0.283 0.283 0.283
Os 0.717 0.000 0.000

Largest 12 diffraction maxima, low angle first, 10° ≤ 2θ ≤ 90°:
4.976 Å, 2θ 17.83, I 21.5
3.518 Å, 2θ 25.31, I 13.9
2.873 Å, 2θ 31.13, I 100.0
2.488 Å, 2θ 36.10, I 36.0
2.225 Å, 2θ 40.54, I 75.1
2.031 Å, 2θ 44.61, I 37.2
1.881 Å, 2θ 48.40, I 19.4
1.659 Å, 2θ 55.40, I 28.5
1.573 Å, 2θ 58.68, I 26.1
1.285 Å, 2θ 73.75, I 23.6
1.244 Å, 2θ 76.60, I 20.1
1.207 Å, 2θ 79.41, I 15.8


# 9
# Tm2ThSc7
Simulated powder diffraction line list, λ = 1.5418 Å (Cu Kα). Input: a structure optimized by DFT (PBE).
Lines closer than 0.1° are merged.

Structure:
Cell lengths 13.853, 13.853, 3.311 Å; angles 90.00, 90.00, 154.92 degrees
Atoms (fractional coordinates):
Tm 0.211 0.789 0.000
Tm 0.789 0.211 0.000
Th 0.500 0.500 0.500
Sc 0.000 0.000 0.000
Sc 0.154 0.352 0.000
Sc 0.317 0.683 0.500
Sc 0.352 0.154 0.000
Sc 0.648 0.846 0.000
Sc 0.683 0.317 0.500
Sc 0.846 0.648 0.000

Largest 12 diffraction maxima, low angle first, 10° ≤ 2θ ≤ 90°:
6.761 Å, 2θ 13.09, I 49.5
5.004 Å, 2θ 17.72, I 57.9
3.251 Å, 2θ 27.43, I 50.8
3.216 Å, 2θ 27.74, I 25.7
2.884 Å, 2θ 31.01, I 46.2
2.749 Å, 2θ 32.58, I 47.2
2.705 Å, 2θ 33.12, I 37.7
2.668 Å, 2θ 33.59, I 23.4
2.556 Å, 2θ 35.11, I 100.0
2.197 Å, 2θ 41.09, I 32.8
2.087 Å, 2θ 43.36, I 29.0
1.635 Å, 2θ 56.26, I 24.6


# 10
# Sc2SbSe
Simulated powder diffraction line list, λ = 1.5418 Å (Cu Kα). Input: a structure optimized by DFT (PBE).
Lines closer than 0.1° are merged.

Structure:
Cell lengths 8.110, 8.110, 8.110 Å; angles 31.64, 31.64, 31.64 degrees
Atoms (fractional coordinates):
Sc 0.107 0.107 0.107
Sc 0.893 0.893 0.893
Sb 0.500 0.500 0.500
Se 0.000 0.000 0.000

Largest 12 diffraction maxima, low angle first, 10° ≤ 2θ ≤ 90°:
7.697 Å, 2θ 11.50, I 25.3
3.849 Å, 2θ 23.11, I 15.7
3.635 Å, 2θ 24.49, I 100.0
3.191 Å, 2θ 27.96, I 20.6
2.948 Å, 2θ 30.32, I 19.8
2.305 Å, 2θ 39.08, I 37.7
2.211 Å, 2θ 40.82, I 43.2
1.977 Å, 2θ 45.89, I 28.9
1.917 Å, 2θ 47.42, I 14.1
1.889 Å, 2θ 48.18, I 15.5
1.596 Å, 2θ 57.79, I 11.5
1.436 Å, 2θ 64.93, I 12.4


# 11
# Ge2P3Au
Simulated powder diffraction line list, λ = 1.5418 Å (Cu Kα). Input: a structure optimized by DFT (PBE).
Lines closer than 0.1° are merged.

Structure:
Cell lengths 6.778, 6.778, 6.797 Å; angles 99.18, 99.18, 120.22 degrees
Atoms (fractional coordinates):
Ge 0.082 0.918 0.500
Ge 0.272 0.773 0.002
Ge 0.773 0.272 0.502
Ge 0.918 0.082 0.000
P 0.056 0.220 0.375
P 0.220 0.056 0.875
P 0.388 0.902 0.379
P 0.553 0.721 0.882
P 0.721 0.553 0.382
P 0.902 0.388 0.879
Au 0.428 0.606 0.506
Au 0.606 0.428 0.006

Largest 12 diffraction maxima, low angle first, 10° ≤ 2θ ≤ 90°:
5.621 Å, 2θ 15.77, I 18.8
4.341 Å, 2θ 20.46, I 12.6
3.218 Å, 2θ 27.72, I 39.9
3.195 Å, 2θ 27.93, I 100.0
2.782 Å, 2θ 32.18, I 23.1
2.753 Å, 2θ 32.53, I 11.3
1.976 Å, 2θ 45.94, I 12.6
1.960 Å, 2θ 46.31, I 36.8
1.952 Å, 2θ 46.51, I 24.0
1.677 Å, 2θ 54.73, I 10.8
1.672 Å, 2θ 54.91, I 19.7
1.661 Å, 2θ 55.29, I 14.5


# 12
# Pr3Sn2Pd7
Simulated powder diffraction line list, λ = 1.5418 Å (Cu Kα). Input: a structure optimized by DFT (PBE).
Lines closer than 0.1° are merged.

Structure:
Cell lengths 15.021, 15.021, 15.021 Å; angles 163.94, 163.94, 22.79 degrees
Atoms (fractional coordinates):
Pr 0.000 0.000 0.000
Pr 0.179 0.179 0.000
Pr 0.821 0.821 0.000
Sn 0.373 0.373 0.000
Sn 0.627 0.627 0.000
Pd 0.073 0.573 0.500
Pd 0.279 0.279 0.000
Pd 0.427 0.927 0.500
Pd 0.500 0.500 0.000
Pd 0.573 0.073 0.500
Pd 0.721 0.721 0.000
Pd 0.927 0.427 0.500

Largest 12 diffraction maxima, low angle first, 10° ≤ 2θ ≤ 90°:
3.418 Å, 2θ 26.07, I 18.4
2.968 Å, 2θ 30.11, I 35.2
2.909 Å, 2θ 30.73, I 34.0
2.581 Å, 2θ 34.76, I 45.5
2.540 Å, 2θ 35.34, I 100.0
2.311 Å, 2θ 38.98, I 43.9
2.257 Å, 2θ 39.94, I 51.5
2.099 Å, 2θ 43.10, I 84.7
1.628 Å, 2θ 56.52, I 22.4
1.537 Å, 2θ 60.21, I 31.0
1.484 Å, 2θ 62.58, I 38.5
1.281 Å, 2θ 73.98, I 22.7


- Number 8 is which compound?
  Pm3B4Os4


Repeat the sixth record exactly.
# Mg3In2Bi3
Simulated powder diffraction line list, λ = 1.5418 Å (Cu Kα). Input: a structure optimized by DFT (PBE).
Lines closer than 0.1° are merged.

Structure:
Cell lengths 5.801, 7.010, 12.839 Å; angles 81.48, 89.33, 89.23 degrees
Atoms (fractional coordinates):
Mg 0.017 0.243 0.303
Mg 0.214 0.026 0.909
Mg 0.225 0.662 0.171
Mg 0.775 0.338 0.829
Mg 0.786 0.974 0.091
Mg 0.983 0.757 0.697
In 0.086 0.146 0.588
In 0.250 0.478 0.977
In 0.750 0.522 0.023
In 0.914 0.854 0.412
Bi 0.262 0.507 0.435
Bi 0.282 0.411 0.750
Bi 0.286 0.090 0.137
Bi 0.714 0.910 0.863
Bi 0.718 0.589 0.250
Bi 0.738 0.493 0.565

Largest 12 diffraction maxima, low angle first, 10° ≤ 2θ ≤ 90°:
6.932 Å, 2θ 12.77, I 72.8
6.502 Å, 2θ 13.62, I 53.6
4.423 Å, 2θ 20.08, I 52.6
4.364 Å, 2θ 20.35, I 47.4
3.491 Å, 2θ 25.52, I 100.0
3.469 Å, 2θ 25.68, I 73.1
3.402 Å, 2θ 26.19, I 51.3
3.247 Å, 2θ 27.47, I 58.2
3.063 Å, 2θ 29.16, I 61.9
2.900 Å, 2θ 30.83, I 76.7
2.337 Å, 2θ 38.53, I 75.6
2.309 Å, 2θ 39.00, I 74.5